K2CeAg3Te4: computed X-ray diffraction stick pattern (Cu Ka), based on the GGA-PBE geometry in Alexandria.
No peak broadening, texture or thermal motion is included.

a b c (Å): 17.295 4.655 15.426
angles (deg): 90.00 90.00 90.00
Space group Pnma (No. 62)
One atom of each set of equivalent atoms:
K 0.084 0.250 0.101 x4
K 0.114 0.250 0.344 x4
Ce 0.144 0.750 0.728 x4
Ag 0.031 0.250 0.569 x4
Ag 0.224 0.250 0.904 x4
Ag 0.229 0.250 0.546 x4
Te 0.019 0.250 0.750 x4
Te 0.125 0.750 0.516 x4
Te 0.137 0.750 0.938 x4
Te 0.226 0.750 0.223 x4

Principal peaks in the range 2θ from 10° to 90°, sorted by position:
d/Å  intensity
7.543  41.2
3.103  100.0
2.928  27.4
2.906  21.4
2.809  24.1
2.450  31.4
2.328  41.4
2.210  47.7

---

PmZn2Au: computed X-ray diffraction stick pattern (Cu Ka), based on the GGA-PBE geometry in Alexandria.
No peak broadening, texture or thermal motion is included.

a b c (Å): 8.660 6.896 5.465
angles (deg): 90.00 90.00 90.00
Space group Pnma (No. 62)
One atom of each set of equivalent atoms:
Pm 0.058 0.250 0.145 x4
Zn 0.184 0.054 0.629 x8
Au 0.094 0.750 0.355 x4

Principal peaks in the range 2θ from 10° to 90°, sorted by position:
d/Å  intensity
3.448  34.7
2.697  46.2
2.438  100.0
2.419  80.0
2.394  42.9
2.013  31.5
1.724  39.7
1.503  26.5

---

As5Au: computed X-ray diffraction stick pattern (Cu Ka), based on the GGA-PBE geometry in Alexandria.
No peak broadening, texture or thermal motion is included.

a b c (Å): 2.741 16.263 11.565
angles (deg): 90.00 90.00 90.00
Space group Fmm2 (No. 42)
One atom of each set of equivalent atoms:
As 0.000 0.000 0.000 x4
As 0.000 0.148 0.252 x8
As 0.000 0.164 0.469 x8
Au 0.000 0.000 0.739 x4

Principal peaks in the range 2θ from 10° to 90°, sorted by position:
d/Å  intensity
8.131  59.2
4.712  33.5
2.891  69.9
2.710  57.2
2.393  100.0
2.065  56.3
1.977  41.2
1.681  40.1

---

Pr2Zn5Cu4: computed X-ray diffraction stick pattern (Cu Ka), based on the GGA-PBE geometry in Alexandria.
No peak broadening, texture or thermal motion is included.

a b c (Å): 5.378 9.022 16.120
angles (deg): 90.00 90.00 90.00
Space group Fmmm (No. 69)
One atom of each set of equivalent atoms:
Pr 0.000 0.000 0.133 x8
Zn 0.000 0.000 0.500 x4
Zn 0.250 0.250 0.000 x8
Zn 0.250 0.250 0.250 x8
Cu 0.000 0.154 0.370 x16

Principal peaks in the range 2θ from 10° to 90°, sorted by position:
d/Å  intensity
3.503  35.7
3.005  59.1
2.591  46.5
2.359  100.0
2.310  57.2
2.237  97.5
2.036  34.5
2.015  47.2

---

> Number 3 is which compound?

As5Au

---

> Which formula does entry 2 have?

PmZn2Au

---

> Which formula does entry 2 have?

PmZn2Au